Theoretical powder XRD pattern
Compound: Dy4ZrIr3
Radiation: Cu Kα (λ = 1.5418 Å)
Structure: the GGA-PBE geometry in Alexandria
Intensities are scaled so that the largest is 100.

Structure:
Cell: 8.2974 8.2974 8.2974 Å, 97.45 97.45 137.79°
Positions (direct):
Dy (0.0816, 0.7877, 0.8693)
Dy (0.2123, 0.0816, 0.2939)
Dy (0.2877, 0.5816, 0.8693)
Dy (0.4184, 0.2877, 0.7061)
Dy (0.5816, 0.7123, 0.2939)
Dy (0.7123, 0.4184, 0.1307)
Dy (0.7877, 0.9184, 0.7061)
Dy (0.9184, 0.2123, 0.1307)
Zr (0.2500, 0.7500, 0.5000)
Zr (0.7500, 0.2500, 0.5000)
Ir (0.1497, 0.3503, 0.5000)
Ir (0.2500, 0.2500, 0.0000)
Ir (0.3503, 0.8503, 0.2007)
Ir (0.6497, 0.1497, 0.7993)
Ir (0.7500, 0.7500, 0.0000)
Ir (0.8503, 0.6497, 0.5000)

Peak list (10 most intense, 10° ≤ 2θ ≤ 90°, by angle)
| 2theta | Rel. int. |
| --- | --- |
| 29.90 | 35 |
| 33.09 | 87 |
| 34.19 | 49 |
| 36.71 | 55 |
| 37.05 | 100 |
| 38.05 | 41 |
| 44.91 | 26 |
| 57.87 | 28 |
| 68.23 | 31 |
| 69.45 | 23 |

***

Theoretical powder XRD pattern
Compound: Pr2Y3Tl
Radiation: Cu Kα (λ = 1.5418 Å)
Structure: the GGA-PBE geometry in Alexandria
Intensities are scaled so that the largest is 100.

Structure:
Cell: 9.5648 9.5648 9.5648 Å, 148.63 121.38 68.00°
Positions (direct):
Pr (0.2778, 0.0278, 0.2500)
Pr (0.4254, 0.6754, 0.7500)
Pr (0.5746, 0.3246, 0.2500)
Pr (0.7222, 0.9722, 0.7500)
Y (0.0000, 0.5000, 0.5000)
Y (0.1260, 0.1711, 0.9549)
Y (0.2839, 0.8289, 0.4549)
Y (0.5000, 0.5000, 0.0000)
Y (0.7161, 0.1711, 0.5451)
Y (0.8740, 0.8289, 0.0451)
Tl (0.1066, 0.3566, 0.7500)
Tl (0.8934, 0.6434, 0.2500)

Peak list (10 most intense, 10° ≤ 2θ ≤ 90°, by angle)
| 2theta | Rel. int. |
| --- | --- |
| 18.95 | 9 |
| 30.82 | 100 |
| 33.92 | 15 |
| 34.69 | 22 |
| 35.45 | 9 |
| 38.45 | 12 |
| 49.30 | 10 |
| 52.74 | 10 |
| 59.78 | 15 |
| 62.03 | 9 |

***

Theoretical powder XRD pattern
Compound: NaNdAgGe
Radiation: Cu Kα (λ = 1.5418 Å)
Structure: the GGA-PBE geometry in Alexandria
Intensities are scaled so that the largest is 100.

Structure:
Cell: 5.1055 5.1055 5.1055 Å, 60.00 60.00 60.00°
Positions (direct):
Na (0.0000, 0.0000, 0.0000)
Nd (0.5000, 0.5000, 0.5000)
Ag (0.7500, 0.7500, 0.7500)
Ge (0.2500, 0.2500, 0.2500)

Peak list (10 most intense, 10° ≤ 2θ ≤ 90°, by angle)
| 2theta | Rel. int. |
| --- | --- |
| 21.31 | 29 |
| 35.15 | 100 |
| 41.48 | 16 |
| 50.57 | 17 |
| 55.47 | 7 |
| 63.08 | 35 |
| 67.39 | 5 |
| 74.31 | 11 |
| 78.35 | 5 |
| 84.95 | 15 |